# TmMg2MoH8
Theoretical powder X-ray diffraction pattern, a wavelength of 1.5418 Å. Input: DFT lattice parameters and positions (PBE).

The 8 most intense peaks (2θ = 15–90°), sorted by position:
Position (°2θ)	I/Imax
21.1	77
33.2	100
34.9	22
38.1	32
39.2	15
44.0	23
55.8	23
65.7	27

Crystal structure
Cell: 5.679 5.679 5.679 Å, 130.83 130.83 72.09°
Sites, in units of the cell vectors:
Tm1 0.000 0.000 0.000
Mg1 0.250 0.750 0.500
Mg2 0.500 0.500 0.000
Mo1 0.750 0.250 0.500
H1 0.105 0.133 0.512
H2 0.105 0.593 0.973
H3 0.407 0.379 0.512
H4 0.407 0.895 0.027
H5 0.621 0.133 0.027
H6 0.621 0.593 0.488
H7 0.867 0.379 0.973
H8 0.867 0.895 0.488


# Mg4HN2
Theoretical powder X-ray diffraction pattern, a wavelength of 1.5418 Å. Input: DFT lattice parameters and positions (PBE).

The 8 most intense peaks (2θ = 15–90°), sorted by position:
Position (°2θ)	I/Imax
17.4	100
34.2	51
34.4	27
38.8	49
40.6	96
54.0	22
56.9	34
58.0	34

Crystal structure
Cell: 5.519 3.180 5.647 Å, 90.00 112.41 90.00°
Sites, in units of the cell vectors:
Mg1 0.203 0.000 0.241
Mg2 0.204 0.501 0.745
Mg3 0.796 0.501 0.255
Mg4 0.797 0.000 0.759
H1 0.500 0.997 0.000
N1 0.000 0.000 0.500
N2 0.000 0.500 0.000


# Mg9H14N2
Theoretical powder X-ray diffraction pattern, a wavelength of 1.5418 Å. Input: DFT lattice parameters and positions (PBE).

The 8 most intense peaks (2θ = 15–90°), sorted by position:
Position (°2θ)	I/Imax
20.3	23
31.9	100
32.3	33
37.1	44
53.3	24
53.7	28
63.7	20
64.1	12

Crystal structure
Cell: 5.958 5.958 8.322 Å, 90.00 90.00 120.00°
Sites, in units of the cell vectors:
Mg1 0.000 0.000 0.000
Mg2 0.043 0.343 0.340
Mg3 0.301 0.957 0.340
Mg4 0.333 0.667 0.006
Mg5 0.343 0.301 0.660
Mg6 0.657 0.699 0.340
Mg7 0.667 0.333 0.994
Mg8 0.699 0.043 0.660
Mg9 0.957 0.657 0.660
H1 0.000 0.000 0.265
H2 0.000 0.000 0.735
H3 0.080 0.377 0.585
H4 0.098 0.748 0.897
H5 0.252 0.350 0.897
H6 0.297 0.920 0.585
H7 0.350 0.098 0.103
H8 0.377 0.297 0.415
H9 0.623 0.703 0.585
H10 0.650 0.902 0.897
H11 0.703 0.080 0.415
H12 0.748 0.650 0.103
H13 0.902 0.252 0.103
H14 0.920 0.623 0.415
N1 0.333 0.667 0.244
N2 0.667 0.333 0.756


# Mg2HN
Theoretical powder X-ray diffraction pattern, a wavelength of 1.5418 Å. Input: DFT lattice parameters and positions (PBE).

The 8 most intense peaks (2θ = 15–90°), sorted by position:
Position (°2θ)	I/Imax
25.4	43
34.2	36
35.6	51
38.4	100
44.5	45
54.1	38
60.2	46
75.3	23

Crystal structure
Cell: 4.073 6.858 3.217 Å, 90.00 90.00 90.00°
Sites, in units of the cell vectors:
Mg1 0.000 0.070 0.000
Mg2 0.000 0.657 0.001
Mg3 0.500 0.343 0.501
Mg4 0.500 0.930 0.500
H1 0.000 0.429 0.499
H2 0.500 0.571 0.999
N1 0.000 0.855 0.500
N2 0.500 0.145 0.000


# MgPH16NO10
Theoretical powder X-ray diffraction pattern, a wavelength of 1.5418 Å. Input: DFT lattice parameters and positions (PBE).

The 8 most intense peaks (2θ = 15–90°), sorted by position:
Position (°2θ)	I/Imax
15.6	60
16.5	23
20.9	100
21.4	34
26.8	34
30.4	70
31.6	36
33.4	93

Crystal structure
Cell: 7.010 6.092 11.326 Å, 90.00 90.00 90.00°
Sites, in units of the cell vectors:
Mg1 0.000 0.143 0.000
Mg2 0.500 0.857 0.500
P1 0.000 0.486 0.628
P2 0.500 0.514 0.128
H1 0.000 0.127 0.272
H2 0.000 0.251 0.410
H3 0.000 0.693 0.964
H4 0.000 0.785 0.832
H5 0.117 0.526 0.118
H6 0.120 0.007 0.382
H7 0.179 0.649 0.429
H8 0.182 0.863 0.644
H9 0.204 0.302 0.807
H10 0.249 0.888 0.133
H11 0.251 0.112 0.633
H12 0.296 0.698 0.307
H13 0.318 0.137 0.144
H14 0.321 0.351 0.929
H15 0.380 0.993 0.882
H16 0.383 0.474 0.618
H17 0.500 0.215 0.332
H18 0.500 0.307 0.464
H19 0.500 0.749 0.910
H20 0.500 0.873 0.772
H21 0.617 0.474 0.618
H22 0.620 0.993 0.882
H23 0.679 0.351 0.929
H24 0.682 0.137 0.144
H25 0.704 0.698 0.307
H26 0.749 0.112 0.633
H27 0.751 0.888 0.133
H28 0.796 0.302 0.807
H29 0.818 0.863 0.644
H30 0.821 0.649 0.429
H31 0.880 0.007 0.382
H32 0.883 0.526 0.118
N1 0.000 0.102 0.363
N2 0.500 0.898 0.863
O1 0.000 0.470 0.076
O2 0.000 0.502 0.490
O3 0.000 0.720 0.683
O4 0.000 0.830 0.917
O5 0.183 0.363 0.670
O6 0.205 0.043 0.121
O7 0.225 0.249 0.891
O8 0.275 0.751 0.391
O9 0.295 0.957 0.621
O10 0.317 0.637 0.170
O11 0.500 0.170 0.417
O12 0.500 0.280 0.183
O13 0.500 0.498 0.990
O14 0.500 0.530 0.576
O15 0.683 0.637 0.170
O16 0.705 0.957 0.621
O17 0.725 0.751 0.391
O18 0.775 0.249 0.891
O19 0.795 0.043 0.121
O20 0.817 0.363 0.670


Q: What is the formula in the fifth record?
A: MgPH16NO10